# 1
Structure and calculated powder XRD pattern of TlInSiF6 (a structure optimized by DFT (GGA-PBE); a wavelength of 1.5418 Å).
Neutral-atom scattering factors, no anomalous dispersion.

Crystal structure
```
TlInSiF6
1.0
5.068 0.000 0.000
0.009 5.825 0.000
0.025 2.909 5.059
Tl In Si F
1 1 1 6
Direct
0.000 0.000 0.000
0.573 0.666 0.667
0.341 0.333 0.334
0.146 0.474 0.473
0.147 0.052 0.473
0.151 0.474 0.052
0.532 0.192 0.616
0.536 0.613 0.196
0.537 0.192 0.195
```

Main lines, low angle first (5° ≤ 2θ ≤ 70°):
| 2θ (°) | I/Imax |
| --- | --- |
| 17.55 | 29.3 |
| 24.87 | 100.0 |
| 24.92 | 49.5 |
| 30.65 | 62.2 |
| 35.44 | 23.4 |
| 39.76 | 34.2 |
| 39.88 | 53.3 |
| 47.57 | 17.4 |
| 51.08 | 22.0 |
| 51.18 | 17.9 |

=====

# 2
Structure and calculated powder XRD pattern of Ba3Al2Zn2 (a structure optimized by DFT (GGA-PBE); a wavelength of 1.5418 Å).
Neutral-atom scattering factors, no anomalous dispersion.

Crystal structure
```
Ba3Al2Zn2
1.0
6.639 0.000 0.000
0.000 8.994 0.000
0.000 0.000 14.938
Ba Al Zn
12 8 8
Direct
0.118 0.116 0.102
0.118 0.116 0.398
0.118 0.384 0.602
0.118 0.384 0.898
0.340 0.739 0.750
0.340 0.761 0.250
0.660 0.239 0.750
0.660 0.261 0.250
0.882 0.616 0.102
0.882 0.616 0.398
0.882 0.884 0.602
0.882 0.884 0.898
0.188 0.095 0.750
0.188 0.405 0.250
0.388 0.750 0.000
0.388 0.750 0.500
0.612 0.250 0.000
0.612 0.250 0.500
0.812 0.595 0.750
0.812 0.905 0.250
0.390 0.033 0.587
0.390 0.033 0.913
0.390 0.467 0.087
0.390 0.467 0.413
0.610 0.533 0.587
0.610 0.533 0.913
0.610 0.967 0.087
0.610 0.967 0.413
```

Main lines, low angle first (5° ≤ 2θ ≤ 70°):
| 2θ (°) | I/Imax |
| --- | --- |
| 20.44 | 38.1 |
| 24.64 | 31.8 |
| 26.72 | 48.4 |
| 28.67 | 52.0 |
| 29.18 | 54.6 |
| 29.97 | 51.8 |
| 31.13 | 32.3 |
| 32.78 | 48.8 |
| 33.96 | 100.0 |
| 36.08 | 36.9 |

=====

# 3
Structure and calculated powder XRD pattern of Na2SrRu3O8 (a structure optimized by DFT (GGA-PBE); a wavelength of 1.5418 Å).
Neutral-atom scattering factors, no anomalous dispersion.

Crystal structure
```
Na2SrRu3O8
1.0
3.081 1.779 5.719
-3.081 1.779 5.719
0.000 -3.558 5.719
Na Sr Ru O
2 1 3 8
Direct
0.000 0.000 0.000
0.380 0.380 0.380
0.744 0.744 0.744
0.368 0.368 0.894
0.368 0.894 0.368
0.894 0.368 0.368
0.129 0.129 0.576
0.129 0.576 0.129
0.137 0.137 0.137
0.186 0.632 0.632
0.576 0.129 0.129
0.602 0.602 0.602
0.632 0.186 0.632
0.632 0.632 0.186
```

Main lines, low angle first (5° ≤ 2θ ≤ 70°):
| 2θ (°) | I/Imax |
| --- | --- |
| 15.49 | 100.0 |
| 19.59 | 39.1 |
| 26.66 | 51.2 |
| 30.98 | 29.0 |
| 33.02 | 67.8 |
| 34.00 | 80.7 |
| 39.78 | 46.9 |
| 50.56 | 44.9 |
| 54.92 | 41.1 |
| 60.05 | 35.4 |

=====

# 4
Structure and calculated powder XRD pattern of BeGePd (a structure optimized by DFT (GGA-PBE); a wavelength of 1.5418 Å).
Neutral-atom scattering factors, no anomalous dispersion.

Crystal structure
```
BeGePd
1.0
7.988 0.000 0.000
0.000 4.562 0.000
-0.040 0.000 4.639
Be Ge Pd
4 4 4
Direct
0.000 0.245 0.000
0.000 0.755 0.000
0.500 0.255 0.000
0.500 0.745 0.000
0.249 0.000 0.964
0.441 0.000 0.498
0.749 0.500 0.964
0.941 0.500 0.498
0.081 0.000 0.498
0.252 0.500 0.204
0.581 0.500 0.498
0.752 0.000 0.204
```

Main lines, low angle first (5° ≤ 2θ ≤ 70°):
| 2θ (°) | I/Imax |
| --- | --- |
| 19.13 | 36.2 |
| 29.38 | 45.4 |
| 29.62 | 100.0 |
| 39.17 | 41.5 |
| 39.51 | 57.3 |
| 43.81 | 45.8 |
| 44.08 | 39.1 |
| 45.22 | 37.9 |
| 45.40 | 57.2 |
| 50.16 | 30.1 |